1.
Computed X-ray powder pattern
Compound: Ac3USe7
Radiation: Cu Kα (λ = 1.5418 Å)
Structure: a DFT-relaxed cell (GGA-PBE, Alexandria)

Main lines, low angle first (10° ≤ 2θ ≤ 80°):
hkl  two_theta  I (rel.)
0 2 2  21.2  82.2
2 2 0  21.8  91.4
0 0 4  34.7  33.4
2 4 2  35.5  100.0
2 2 4  41.4  35.7
4 2 2  42.4  25.1

Crystal structure
Cell lengths 9.910, 14.306, 10.330 Å; angles 90.00, 90.00, 90.00 degrees
Space group Cmcm (No. 63)
Symmetry-distinct sites (fractional):
Ac 0.000 0.000 0.000
Ac 0.228 0.275 0.250
U 0.000 0.500 0.000
Se 0.000 0.127 0.750
Se 0.000 0.133 0.250
Se 0.000 0.431 0.250
Se 0.207 0.374 0.530

2.
Computed X-ray powder pattern
Compound: La4Sm2DyTm
Radiation: Cu Kα (λ = 1.5418 Å)
Structure: a DFT-relaxed cell (GGA-PBE, Alexandria)

Main lines, low angle first (10° ≤ 2θ ≤ 80°):
hkl  two_theta  I (rel.)
1 1 2  29.9  100.0
0 2 0  34.2  17.7
2 0 0  34.4  17.3
0 0 4  35.6  15.8
1 3 2  58.6  15.0
3 1 2  58.9  14.7

Crystal structure
Cell lengths 5.214, 5.251, 10.099 Å; angles 90.00, 90.04, 90.00 degrees
Space group P2/m (No. 10)
Symmetry-distinct sites (fractional):
La 0.000 0.000 0.249
La 0.500 0.500 0.250
Sm 0.000 0.500 0.000
Sm 0.500 0.000 0.500
Dy 0.000 0.500 0.500
Tm 0.500 0.000 0.000

3.
Computed X-ray powder pattern
Compound: Ti3Ni2H4
Radiation: Cu Kα (λ = 1.5418 Å)
Structure: a DFT-relaxed cell (GGA-PBE, Alexandria)

Main lines, low angle first (10° ≤ 2θ ≤ 80°):
hkl  two_theta  I (rel.)
0 0 2  21.0  32.8
0 2 2  37.4  39.5
1 1 2  37.8  100.0
1 2 1  42.6  86.0
0 0 4  42.9  33.7
1 2 5  70.4  31.3

Crystal structure
Cell lengths 3.319, 5.851, 8.441 Å; angles 90.00, 90.00, 90.00 degrees
Space group Immm (No. 71)
Symmetry-distinct sites (fractional):
Ti 0.000 0.000 0.000
Ti 0.000 0.500 0.211
Ni 0.000 0.206 0.500
H 0.000 0.185 0.305

4.
Computed X-ray powder pattern
Compound: Ba8Pt2Pb
Radiation: Cu Kα (λ = 1.5418 Å)
Structure: a DFT-relaxed cell (GGA-PBE, Alexandria)

Main lines, low angle first (10° ≤ 2θ ≤ 80°):
hkl  two_theta  I (rel.)
1 1 0  16.7  81.3
2 0 1  23.7  43.0
3 0 0  29.1  41.0
2 2 0  33.7  100.0
2 2 2  44.0  32.4
6 0 0  60.3  28.3

Crystal structure
Cell lengths 10.6307, 10.6307, 6.5003 Å; angles 90.00, 90.00, 120.00 degrees
Space group P-3 (No. 147)
Symmetry-distinct sites (fractional):
Ba 0.1678 0.3381 0.2481
Ba 0.3333 0.6667 0.7530
Pt 0.3333 0.6667 0.2581
Pb 0.0000 0.0000 0.5000

5.
Computed X-ray powder pattern
Compound: NaNp4UN8
Radiation: Cu Kα (λ = 1.5418 Å)
Structure: a DFT-relaxed cell (GGA-PBE, Alexandria)

Main lines, low angle first (10° ≤ 2θ ≤ 80°):
hkl  two_theta  I (rel.)
1 0 4  27.3  52.7
0 2 1  30.4  100.0
1 1 3  31.1  45.7
2 0 2  32.1  40.0
0 1 5  32.4  37.4
2 2 0  53.0  42.5

Crystal structure
Cell lengths 6.9090, 6.9090, 15.5625 Å; angles 90.00, 90.00, 120.00 degrees
Space group R3m (No. 160, hexagonal axes)
Symmetry-distinct sites (fractional):
Na 0.0000 0.0000 0.0000
Np 0.0000 0.0000 0.6185
Np 0.1671 0.3343 0.8356
U 0.0000 0.0000 0.3943
N 0.0000 0.0000 0.2485
N 0.0000 0.0000 0.7635
N 0.0190 0.5095 0.7629
N 0.1741 0.3481 0.5675

6.
Computed X-ray powder pattern
Compound: NdHfB12
Radiation: Cu Kα (λ = 1.5418 Å)
Structure: a DFT-relaxed cell (GGA-PBE, Alexandria)

Main lines, low angle first (10° ≤ 2θ ≤ 80°):
hkl  two_theta  I (rel.)
1 0 0  21.8  70.2
1 1 0  31.0  100.0
1 1 2  38.2  42.2
2 1 0  49.9  33.6
1 0 4  50.0  16.7
2 1 2  55.1  28.6

Crystal structure
Cell lengths 4.089, 4.089, 8.155 Å; angles 90.00, 90.00, 90.00 degrees
Space group P4/mmm (No. 123)
Symmetry-distinct sites (fractional):
Nd 0.000 0.000 0.000
Hf 0.000 0.000 0.500
B 0.198 0.500 0.255
B 0.500 0.500 0.101
B 0.500 0.500 0.403

7.
Computed X-ray powder pattern
Compound: Pm3PBr3
Radiation: Cu Kα (λ = 1.5418 Å)
Structure: a DFT-relaxed cell (GGA-PBE, Alexandria)

Main lines, low angle first (10° ≤ 2θ ≤ 80°):
hkl  two_theta  I (rel.)
1 0 -1  12.7  18.1
2 1 0  30.0  100.0
0 0 4  30.2  48.0
2 1 -4  43.1  66.1
0 2 0  44.0  18.6
0 2 4  54.3  18.0

Crystal structure
Cell lengths 8.651, 4.113, 11.831 Å; angles 90.00, 90.16, 90.00 degrees
Space group P2_1/m (No. 11)
Symmetry-distinct sites (fractional):
Pm 0.095 0.250 0.117
Pm 0.124 0.250 0.650
Pm 0.336 0.750 0.872
P 0.122 0.250 0.882
Br 0.129 0.250 0.382
Br 0.369 0.750 0.622
Br 0.382 0.750 0.132

8.
Computed X-ray powder pattern
Compound: PrMg4In
Radiation: Cu Kα (λ = 1.5418 Å)
Structure: a DFT-relaxed cell (GGA-PBE, Alexandria)

Main lines, low angle first (10° ≤ 2θ ≤ 80°):
hkl  two_theta  I (rel.)
0 1 0  18.8  95.5
2 0 0  21.6  76.7
2 1 0  28.8  100.0
2 1 1  30.9  62.0
1 1 2  31.3  83.0
2 1 2  36.7  78.4

Crystal structure
Cell lengths 8.246, 4.709, 7.991 Å; angles 90.00, 90.00, 90.00 degrees
Space group Pmma (No. 51)
Symmetry-distinct sites (fractional):
Pr 0.250 0.000 0.138
Mg 0.000 0.000 0.500
Mg 0.049 0.500 0.815
Mg 0.250 0.500 0.452
In 0.250 0.000 0.741